# 1
Starting from a cell relaxed with GGA+U, the X-ray powder pattern of Co2PbC2O7 was simulated for a wavelength of 1.5418 Å.
Lines closer than 0.1° are merged.

Peak list (10 most intense, 5° ≤ 2θ ≤ 70°, in order of rising 2θ)
hkl 0 0 3, 10.05°, I = 100
hkl 0 1 2, 21.39°, I = 84
hkl 1 0 4, 24.41°, I = 63
hkl 0 1 5, 26.46°, I = 41
hkl 1 0 7, 31.32°, I = 70
hkl 1 1 0, 35.54°, I = 44
hkl 2 0 2, 41.85°, I = 25
hkl 1 1 9, 47.50°, I = 32
hkl 1 2 2, 56.04°, I = 20
hkl 2 1 7, 61.20°, I = 16

Structure:
Lattice parameters (Å, degrees): 5.0525 5.0525 26.3925 90.00 90.00 120.00
Space group R32 (No. 155, hexagonal axes)
Symmetry-distinct sites (fractional):
1 Co 0.0000 0.0000 0.0677 (multiplicity 6)
2 Pb 0.0000 0.0000 0.5000 (multiplicity 3)
3 C 0.0000 0.0000 0.2288 (multiplicity 6)
4 O 0.0000 0.0000 0.0000 (multiplicity 3)
5 O 0.0309 0.2712 0.7723 (multiplicity 18)

---

# 2
Starting from a cell relaxed with GGA+U, the X-ray powder pattern of Li2V3CrO8 was simulated for a wavelength of 1.5418 Å.
Lines closer than 0.1° are merged.

Peak list (10 most intense, 5° ≤ 2θ ≤ 70°, in order of rising 2θ)
hkl 0 0 2, 18.49°, I = 83
hkl 1 1 -1, 19.56°, I = 100
hkl 1 1 1, 19.82°, I = 48
hkl 0 2 2, 25.32°, I = 35
hkl 2 0 -2, 35.48°, I = 39
hkl 2 0 2, 36.10°, I = 37
hkl 0 4 2, 39.73°, I = 43
hkl 2 2 -3, 45.15°, I = 60
hkl 2 2 3, 45.80°, I = 28
hkl 2 6 0, 62.66°, I = 40

Structure:
Lattice parameters (Å, degrees): 5.880 10.303 9.599 90.00 90.98 90.00
Space group Cc (No. 9)
Symmetry-distinct sites (fractional):
1 Li 0.000 0.005 0.000 (multiplicity 4)
2 Li 0.491 0.165 0.399 (multiplicity 4)
3 V 0.236 0.416 0.216 (multiplicity 4)
4 V 0.246 0.083 0.718 (multiplicity 4)
5 V 0.493 0.330 0.718 (multiplicity 4)
6 Cr 0.491 0.171 0.989 (multiplicity 4)
7 O 0.006 0.159 0.605 (multiplicity 4)
8 O 0.206 0.255 0.342 (multiplicity 4)
9 O 0.244 0.085 0.112 (multiplicity 4)
10 O 0.256 0.411 0.605 (multiplicity 4)
11 O 0.269 0.241 0.843 (multiplicity 4)
12 O 0.481 0.022 0.845 (multiplicity 4)
13 O 0.484 0.168 0.607 (multiplicity 4)
14 O 0.495 0.498 0.815 (multiplicity 4)